Theoretical XRD peak list
Compound: Re3Ni
Radiation: Cu Kα
Structure: a DFT-relaxed cell (GGA-PBE, Alexandria)
Peak positions follow from Bragg's law for the DFT cell and can differ from measured ones.

Peak list (10 most intense, 5° ≤ 2θ ≤ 70°, by angle)
Position (°2θ)	d (Å)	Rel. int.
18.9	4.700	5
27.9	3.202	12
33.0	2.714	5
38.3	2.350	24
41.3	2.186	26
43.7	2.070	100
53.8	1.703	3
55.9	1.646	4
57.6	1.601	15
69.2	1.357	17

Crystal structure
abc: 5.4274 5.4274 4.3730
angles: 90.00 90.00 120.00
Fractional coordinates of all 8 atoms:
Re  0.1662  0.3325  0.2500
Re  0.1662  0.8338  0.2500
Re  0.3325  0.1662  0.7500
Re  0.6675  0.8338  0.2500
Re  0.8338  0.1662  0.7500
Re  0.8338  0.6675  0.7500
Ni  0.3333  0.6667  0.7500
Ni  0.6667  0.3333  0.2500

***

Theoretical XRD peak list
Compound: Zr6Mn7
Radiation: Cu Kα
Structure: a DFT-relaxed cell (GGA-PBE, Alexandria)
Peak positions follow from Bragg's law for the DFT cell and can differ from measured ones.

Peak list (10 most intense, 5° ≤ 2θ ≤ 70°, by angle)
Position (°2θ)	d (Å)	Rel. int.
34.8	2.575	51
36.1	2.487	95
37.2	2.419	90
37.6	2.394	44
39.7	2.272	54
39.9	2.259	77
40.3	2.238	37
40.8	2.210	100
41.1	2.198	44
44.0	2.059	44

Crystal structure
abc: 4.9773 4.9773 10.0540
angles: 104.00 104.00 62.32
Fractional coordinates of all 13 atoms:
Zr  0.0485  0.0485  0.1495
Zr  0.1526  0.1526  0.4538
Zr  0.3341  0.3341  0.0005
Zr  0.6659  0.6659  0.9995
Zr  0.8474  0.8474  0.5462
Zr  0.9515  0.9515  0.8505
Mn  0.0962  0.5949  0.2874
Mn  0.4018  0.4018  0.7141
Mn  0.4051  0.9038  0.7126
Mn  0.5000  0.5000  0.5000
Mn  0.5949  0.0962  0.2874
Mn  0.5982  0.5982  0.2859
Mn  0.9038  0.4051  0.7126

***

Theoretical XRD peak list
Compound: TaIn3Se4
Radiation: Cu Kα
Structure: a DFT-relaxed cell (GGA-PBE, Alexandria)
Peak positions follow from Bragg's law for the DFT cell and can differ from measured ones.

Peak list (10 most intense, 5° ≤ 2θ ≤ 70°, by angle)
Position (°2θ)	d (Å)	Rel. int.
15.8	5.602	21
22.4	3.961	33
27.6	3.234	30
32.0	2.801	100
39.4	2.287	22
42.7	2.117	10
48.8	1.867	19
51.6	1.771	42
56.9	1.617	26
66.8	1.400	9

Crystal structure
abc: 6.8605 6.8605 6.8605
angles: 109.47 109.47 109.47
Fractional coordinates of all 8 atoms:
Ta  0.0000  0.0000  0.0000
In  0.0000  0.5000  0.5000
In  0.5000  0.0000  0.5000
In  0.5000  0.5000  0.0000
Se  0.0000  0.0000  0.6480
Se  0.0000  0.6480  0.0000
Se  0.3520  0.3520  0.3520
Se  0.6480  0.0000  0.0000

***

Theoretical XRD peak list
Compound: LiPdO3
Radiation: Cu Kα
Structure: a DFT-relaxed cell (GGA-PBE, Alexandria)
Peak positions follow from Bragg's law for the DFT cell and can differ from measured ones.

Peak list (10 most intense, 5° ≤ 2θ ≤ 70°, by angle)
Position (°2θ)	d (Å)	Rel. int.
22.5	3.955	100
31.5	2.844	25
32.5	2.752	26
39.9	2.259	6
45.9	1.978	22
50.9	1.793	20
52.4	1.746	20
55.3	1.661	7
57.4	1.606	12
68.2	1.376	6

Crystal structure
abc: 3.9597 3.9597 3.9597
angles: 88.05 88.05 88.05
Fractional coordinates of all 5 atoms:
Li  0.0000  0.0000  0.0000
Pd  0.5839  0.5839  0.5839
O  0.0998  0.6533  0.6533
O  0.6533  0.0998  0.6533
O  0.6533  0.6533  0.0998